1.
Calculated XRD peak list of RbNd2HgTe4 for Cu Kα, from the PBE geometry in Alexandria.

Peak list (8 most intense, 15 to 90 degrees two-theta, sorted by position)
3.383 Å, intensity 39.8; 3.190 Å, intensity 100.0; 3.054 Å, intensity 20.1; 2.766 Å, intensity 21.2; 2.349 Å, intensity 24.5; 2.342 Å, intensity 43.3; 2.316 Å, intensity 29.9; 1.777 Å, intensity 19.0

Cell and atoms:
```
16
Lattice="2.316 -7.787 0.000 2.316 7.787 0.000 0.000 0.000 16.597" Properties=species:S:1:pos:R:3 pbc="T T T"
Rb 2.316 5.738 12.448
Rb 2.316 -5.738 4.149
Nd 2.316 1.941 9.359
Nd 2.316 1.941 15.537
Nd 2.316 -1.941 1.061
Nd 2.316 -1.941 7.238
Hg 2.316 5.223 4.149
Hg 2.316 -5.223 12.448
Te 0.000 0.000 0.000
Te 0.000 0.000 8.299
Te 2.316 3.680 1.660
Te 2.316 3.680 6.638
Te 2.316 0.781 12.448
Te 2.316 -0.781 4.149
Te 2.316 -3.680 9.959
Te 2.316 -3.680 14.937
```

---

2.
Calculated XRD peak list of UTcTe for Cu Kα, from the PBE geometry in Alexandria.

Peak list (8 most intense, 15 to 90 degrees two-theta, sorted by position)
5.057 Å, intensity 100.0; 3.124 Å, intensity 37.1; 2.712 Å, intensity 48.7; 2.619 Å, intensity 48.0; 2.528 Å, intensity 69.2; 2.513 Å, intensity 44.4; 2.448 Å, intensity 49.1; 2.284 Å, intensity 42.5

Cell and atoms:
```
6
Lattice="5.121 0.000 0.000 -0.584 5.260 0.000 -0.575 -0.499 5.424" Properties=species:S:1:pos:R:3 pbc="T T T"
U 0.000 0.000 0.000
U -0.577 2.796 2.313
Tc -0.039 0.126 2.691
Tc 4.049 2.279 5.176
Te 1.497 1.717 4.472
Te 2.003 4.674 1.836
```

---

3.
Calculated XRD peak list of Tb6ErTh8 for Cu Kα, from the PBE geometry in Alexandria.

Peak list (8 most intense, 15 to 90 degrees two-theta, sorted by position)
2.871 Å, intensity 100.0; 2.861 Å, intensity 56.6; 2.851 Å, intensity 52.9; 2.797 Å, intensity 70.5; 2.785 Å, intensity 57.3; 2.404 Å, intensity 28.5; 1.672 Å, intensity 33.8; 1.628 Å, intensity 25.0

Cell and atoms:
```
15
Lattice="4.425 2.555 7.165 -4.425 2.555 7.165 0.000 -5.110 7.165" Properties=species:S:1:pos:R:3 pbc="T T T"
Tb -3.234 -0.859 9.863
Tb -0.873 -3.230 11.633
Tb -2.361 2.371 11.633
Tb 2.361 -2.371 9.863
Tb 0.873 3.230 9.863
Tb 3.234 0.859 11.633
Er 0.000 0.000 10.748
Th 0.000 0.000 1.657
Th -0.607 -1.951 7.800
Th -1.386 1.502 7.800
Th -1.994 -0.450 13.696
Th 1.994 0.450 7.800
Th 1.386 -1.502 13.696
Th 0.607 1.951 13.696
Th 0.000 0.000 19.838
```

---

4.
Calculated XRD peak list of DyPd5Pt for Cu Kα, from the PBE geometry in Alexandria.

Peak list (8 most intense, 15 to 90 degrees two-theta, sorted by position)
2.902 Å, intensity 41.5; 2.680 Å, intensity 60.4; 2.509 Å, intensity 25.0; 2.381 Å, intensity 72.4; 2.292 Å, intensity 100.0; 2.220 Å, intensity 53.4; 2.210 Å, intensity 51.6; 1.895 Å, intensity 65.0

Cell and atoms:
```
14
Lattice="5.017 0.000 0.000 0.000 5.353 0.000 0.000 0.000 9.524" Properties=species:S:1:pos:R:3 pbc="T T T"
Dy 0.000 0.000 0.000
Dy 2.509 2.677 4.762
Pd 0.000 0.000 2.627
Pd 0.000 1.363 7.118
Pd 0.000 3.990 7.118
Pd 1.256 0.000 4.949
Pd 1.252 2.677 0.187
Pd 2.509 1.314 2.356
Pd 2.509 2.677 7.389
Pd 2.509 4.039 2.356
Pd 3.761 0.000 4.949
Pd 3.765 2.677 0.187
Pt 0.000 2.677 2.666
Pt 2.509 0.000 7.428
```

---

5.
Calculated XRD peak list of LaTb6Nd4 for Cu Kα, from the PBE geometry in Alexandria.

Peak list (8 most intense, 15 to 90 degrees two-theta, sorted by position)
3.639 Å, intensity 18.9; 2.867 Å, intensity 97.0; 2.779 Å, intensity 100.0; 2.548 Å, intensity 26.0; 1.996 Å, intensity 27.5; 1.621 Å, intensity 35.8; 1.604 Å, intensity 17.0; 1.502 Å, intensity 30.9

Cell and atoms:
```
11
Lattice="11.118 0.000 0.000 -5.559 9.628 0.000 0.000 0.000 3.569" Properties=species:S:1:pos:R:3 pbc="T T T"
La 0.000 0.000 0.000
Tb -2.724 4.846 0.000
Tb 0.000 3.285 1.784
Tb -2.714 7.986 1.784
Tb 2.724 4.846 0.000
Tb 0.000 9.565 0.000
Tb 2.714 7.986 1.784
Nd 0.000 6.419 0.000
Nd 3.294 1.902 1.784
Nd 7.823 1.902 1.784
Nd 5.559 5.824 1.784
```

---

6.
Calculated XRD peak list of CaGa2Au9 for Cu Kα, from the PBE geometry in Alexandria.

Peak list (8 most intense, 15 to 90 degrees two-theta, sorted by position)
5.704 Å, intensity 17.5; 4.159 Å, intensity 21.1; 2.547 Å, intensity 100.0; 2.175 Å, intensity 86.9; 2.167 Å, intensity 23.8; 2.080 Å, intensity 12.8; 1.472 Å, intensity 17.4; 1.323 Å, intensity 12.7

Cell and atoms:
```
24
Lattice="-5.704 5.704 3.591 5.704 -5.704 3.591 5.704 5.704 -3.591" Properties=species:S:1:pos:R:3 pbc="T T T"
Ca 5.704 2.852 0.898
Ca 0.000 2.852 2.693
Ga 0.000 0.000 0.000
Ga 2.852 2.852 -1.795
Ga 2.852 -2.852 1.795
Ga 0.000 5.704 0.000
Au 4.322 -0.647 1.239
Au 7.086 -0.647 1.239
Au 5.704 -2.852 2.693
Au 2.205 1.470 0.556
Au 9.204 1.470 0.556
Au 4.322 5.057 -1.239
Au 1.382 -0.647 2.351
Au 2.205 4.234 0.556
Au 3.500 -1.470 4.147
Au 2.205 7.175 -0.556
Au 3.500 1.470 3.034
Au 4.322 6.352 1.239
Au 1.382 0.647 4.830
Au -3.500 4.234 3.034
Au 3.500 4.234 3.034
Au 0.000 8.557 0.898
Au -1.382 6.352 2.351
Au 1.382 6.352 2.351
```

---

7.
Calculated XRD peak list of Pu5Te6 for Cu Kα, from the PBE geometry in Alexandria.

Peak list (8 most intense, 15 to 90 degrees two-theta, sorted by position)
4.993 Å, intensity 10.4; 3.833 Å, intensity 32.2; 3.420 Å, intensity 37.3; 2.694 Å, intensity 100.0; 2.213 Å, intensity 44.3; 1.710 Å, intensity 26.4; 1.439 Å, intensity 23.0; 1.353 Å, intensity 24.6

Cell and atoms:
```
11
Lattice="7.665 0.000 0.000 -3.833 6.638 0.000 0.000 0.000 7.577" Properties=species:S:1:pos:R:3 pbc="T T T"
Pu 0.000 0.000 0.000
Pu 0.000 4.426 0.000
Pu 0.000 4.426 3.789
Pu 3.833 2.213 0.000
Pu 3.833 2.213 3.789
Te -1.296 2.244 5.694
Te -2.537 4.394 1.884
Te 2.592 0.000 5.694
Te 1.296 2.244 1.884
Te 5.074 0.000 1.884
Te 2.537 4.394 5.694
```

---

8.
Calculated XRD peak list of BaLiMgPb2 for Cu Kα, from the PBE geometry in Alexandria.

Peak list (8 most intense, 15 to 90 degrees two-theta, sorted by position)
4.586 Å, intensity 39.5; 3.478 Å, intensity 99.8; 3.205 Å, intensity 100.0; 2.459 Å, intensity 50.7; 2.343 Å, intensity 25.7; 2.254 Å, intensity 50.2; 1.951 Å, intensity 50.1; 1.662 Å, intensity 39.6

Cell and atoms:
```
10
Lattice="4.919 0.000 0.000 0.000 4.919 0.000 0.000 0.000 12.678" Properties=species:S:1:pos:R:3 pbc="T T T"
Ba 0.000 0.000 0.000
Ba 2.459 2.459 6.339
Li 0.000 2.459 9.509
Li 2.459 0.000 3.170
Mg 0.000 2.459 3.170
Mg 2.459 0.000 9.509
Pb 0.000 0.000 4.805
Pb 0.000 0.000 7.873
Pb 2.459 2.459 1.534
Pb 2.459 2.459 11.144
```

---

9.
Calculated XRD peak list of Cs2Te4N3 for Cu Kα, from the PBE geometry in Alexandria.

Peak list (8 most intense, 15 to 90 degrees two-theta, sorted by position)
3.937 Å, intensity 100.0; 3.883 Å, intensity 25.3; 3.503 Å, intensity 26.9; 2.869 Å, intensity 42.2; 2.759 Å, intensity 21.2; 2.303 Å, intensity 19.2; 2.218 Å, intensity 23.8; 1.988 Å, intensity 16.7

Cell and atoms:
```
18
Lattice="7.005 -8.548 0.000 7.005 8.548 0.000 0.000 0.000 5.731" Properties=species:S:1:pos:R:3 pbc="T T T"
Cs 2.103 1.809 0.000
Cs 2.103 -1.809 2.866
Cs 11.908 1.809 2.866
Cs 11.908 -1.809 0.000
Te 4.771 3.721 2.866
Te 5.595 0.886 2.866
Te 9.239 3.721 0.000
Te 5.595 -0.886 0.000
Te 8.416 0.886 0.000
Te 4.771 -3.721 0.000
Te 8.416 -0.886 2.866
Te 9.239 -3.721 2.866
N 0.000 0.000 1.433
N 0.000 0.000 4.299
N 4.553 0.000 1.433
N 4.553 0.000 4.299
N 9.458 0.000 1.433
N 9.458 0.000 4.299
```

---

10.
Calculated XRD peak list of Ag5BS4 for Cu Kα, from the PBE geometry in Alexandria.

Peak list (8 most intense, 15 to 90 degrees two-theta, sorted by position)
5.749 Å, intensity 30.2; 3.045 Å, intensity 35.0; 2.897 Å, intensity 35.5; 2.733 Å, intensity 100.0; 2.222 Å, intensity 29.0; 2.214 Å, intensity 35.3; 2.184 Å, intensity 41.8; 1.916 Å, intensity 32.3

Cell and atoms:
```
20
Lattice="7.265 0.000 0.000 0.000 9.403 0.000 0.000 0.000 5.586" Properties=species:S:1:pos:R:3 pbc="T T T"
Ag 0.335 0.764 1.241
Ag 0.335 3.938 1.241
Ag 1.816 2.351 3.309
Ag 3.298 0.764 1.241
Ag 3.298 3.938 1.241
Ag 3.967 5.465 4.345
Ag 3.967 8.639 4.345
Ag 5.449 7.052 2.277
Ag 6.930 5.465 4.345
Ag 6.930 8.639 4.345
B 1.816 7.052 1.591
B 5.449 2.351 3.995
S 0.131 7.052 0.612
S 1.816 5.469 2.701
S 1.816 8.635 2.701
S 3.502 7.052 0.612
S 3.763 2.351 4.974
S 5.449 0.768 2.885
S 5.449 3.934 2.885
S 7.135 2.351 4.974
```

---

11.
Calculated XRD peak list of BaTc3O12 for Cu Kα, from the PBE geometry in Alexandria.

Peak list (8 most intense, 15 to 90 degrees two-theta, sorted by position)
5.561 Å, intensity 20.4; 5.206 Å, intensity 32.3; 4.186 Å, intensity 100.0; 3.435 Å, intensity 46.7; 2.765 Å, intensity 20.3; 2.640 Å, intensity 25.4; 2.233 Å, intensity 11.8; 2.093 Å, intensity 12.1

Cell and atoms:
```
32
Lattice="4.572 2.640 10.412 -4.572 2.640 10.412 0.000 -5.280 10.412" Properties=species:S:1:pos:R:3 pbc="T T T"
Ba 0.000 0.000 0.000
Ba 0.000 0.000 15.619
Tc -1.465 -2.581 12.361
Tc -3.070 -0.080 17.567
Tc -1.502 2.559 12.361
Tc 1.605 -2.618 17.567
Tc 2.968 0.021 12.361
Tc 1.465 2.699 17.567
O -1.571 0.811 6.870
O 0.083 -1.766 6.870
O -0.476 -2.471 10.933
O -2.671 -0.992 16.139
O -3.340 -1.147 18.925
O -1.902 1.648 10.933
O -0.677 -1.813 13.719
O -2.884 -1.680 23.047
O -1.232 1.493 13.719
O 1.488 0.955 6.870
O -1.688 0.960 17.841
O 0.013 -1.942 17.841
O -0.083 -1.766 22.489
O -1.488 0.955 22.489
O 2.194 -1.817 16.139
O 2.378 0.823 10.933
O 1.909 0.321 13.719
O 0.476 2.809 16.139
O 2.663 -2.319 18.925
O 1.676 0.982 17.841
O 0.677 3.466 18.925
O 1.571 0.811 22.489
O -0.013 3.337 23.047
O 2.897 -1.658 23.047
```

---

12.
Calculated XRD peak list of Ce3Th2O9 for Cu Kα, from the PBE geometry in Alexandria.

Peak list (8 most intense, 15 to 90 degrees two-theta, sorted by position)
3.231 Å, intensity 97.9; 3.212 Å, intensity 100.0; 2.790 Å, intensity 67.8; 1.977 Å, intensity 47.9; 1.971 Å, intensity 32.3; 1.687 Å, intensity 21.2; 1.683 Å, intensity 37.1; 1.677 Å, intensity 29.9

Cell and atoms:
```
14
Lattice="6.572 -1.962 0.000 6.572 1.962 0.000 -4.774 0.000 8.417" Properties=species:S:1:pos:R:3 pbc="T T T"
Ce 0.000 0.000 0.000
Ce 6.001 0.000 3.610
Ce 9.810 0.000 1.827
Th -1.218 0.000 6.894
Th 2.415 0.000 5.083
O -0.905 0.000 2.142
O 2.250 0.000 0.597
O 0.049 0.000 4.868
O 3.732 0.000 3.073
O 1.283 0.000 7.395
O 4.787 0.000 5.626
O 8.356 0.000 3.708
O 5.978 0.000 8.114
O 9.548 0.000 6.307
```